Record 1
This entry pairs a crystal structure of KAl9O14 with its simulated XRD peak list. Radiation: Cu Kα X-rays. Structure: a DFT-relaxed cell (GGA-PBE, Alexandria).

```
KAl9O14
1.0
8.2792 0.0000 0.0000
0.0000 7.7592 0.0000
-5.1532 0.0000 8.3257
K Al O
2 18 28
Direct
0.0000 0.0000 0.0000
0.0000 0.5000 0.5000
0.1743 0.0024 0.6717
0.1743 0.4976 0.1717
0.1760 0.1892 0.4073
0.1760 0.3108 0.9073
0.2289 0.6649 0.8782
0.2289 0.8351 0.3782
0.4341 0.1770 0.2786
0.4341 0.3230 0.7786
0.5000 0.0000 0.0000
0.5000 0.5000 0.5000
0.5659 0.6770 0.2214
0.5659 0.8230 0.7214
0.7711 0.1649 0.6218
0.7711 0.3351 0.1218
0.8240 0.6892 0.0927
0.8240 0.8108 0.5927
0.8257 0.5024 0.8283
0.8257 0.9976 0.3283
0.0796 0.7077 0.2101
0.0796 0.7923 0.7101
0.0956 0.5622 0.9490
0.0956 0.9378 0.4490
0.2460 0.1025 0.8742
0.2460 0.3975 0.3742
0.2544 0.2058 0.6145
0.2544 0.2942 0.1145
0.2930 0.0420 0.3317
0.2930 0.4580 0.8317
0.4066 0.7141 0.5380
0.4066 0.7859 0.0380
0.4281 0.5826 0.2887
0.4281 0.9174 0.7887
0.5719 0.0826 0.2113
0.5719 0.4174 0.7113
0.5934 0.2141 0.9620
0.5934 0.2859 0.4620
0.7070 0.5420 0.1683
0.7070 0.9580 0.6683
0.7456 0.7058 0.8855
0.7456 0.7942 0.3855
0.7540 0.6025 0.6258
0.7540 0.8975 0.1258
0.9044 0.0622 0.5510
0.9044 0.4378 0.0510
0.9204 0.2077 0.2899
0.9204 0.2923 0.7899
```

Principal peaks in the range 2θ = 10–80°, sorted by position:
16.16 deg, d 5.484, rel. 41; 25.69 deg, d 3.467, rel. 86; 30.15 deg, d 2.964, rel. 36; 32.66 deg, d 2.742, rel. 100; 34.33 deg, d 2.613, rel. 50; 34.47 deg, d 2.602, rel. 49; 42.00 deg, d 2.151, rel. 38; 59.26 deg, d 1.559, rel. 39; 59.55 deg, d 1.552, rel. 35; 62.68 deg, d 1.482, rel. 36

***

Record 2
This entry pairs a crystal structure of K2Al2O7 with its simulated XRD peak list. Radiation: Cu Kα X-rays. Structure: a DFT-relaxed cell (GGA-PBE, Alexandria).

```
K2Al2O7
1.0
7.9727 0.0000 0.0000
0.0000 4.1546 5.3780
0.0000 -4.1546 5.3780
K Al O
4 4 14
Direct
0.2271 0.0070 0.9930
0.2729 0.5070 0.4930
0.7271 0.4930 0.5070
0.7729 0.9930 0.0070
0.0120 0.9206 0.5381
0.4880 0.4206 0.0381
0.5120 0.0381 0.4206
0.9880 0.5381 0.9206
0.0000 0.7888 0.7888
0.0124 0.8133 0.3339
0.1758 0.4606 0.0832
0.1909 0.0989 0.5151
0.3091 0.5989 0.0151
0.3242 0.9606 0.5832
0.4876 0.3133 0.8339
0.5000 0.2888 0.2888
0.5124 0.8339 0.3133
0.6758 0.5832 0.9606
0.6909 0.0151 0.5989
0.8091 0.5151 0.0989
0.8242 0.0832 0.4606
0.9876 0.3339 0.8133
```

Principal peaks in the range 2θ = 10–80°, sorted by position:
17.48 deg, d 5.073, rel. 32; 27.12 deg, d 3.288, rel. 100; 27.86 deg, d 3.203, rel. 55; 31.09 deg, d 2.876, rel. 37; 33.32 deg, d 2.689, rel. 50; 35.38 deg, d 2.537, rel. 86; 36.47 deg, d 2.464, rel. 20; 45.51 deg, d 1.993, rel. 16; 46.22 deg, d 1.964, rel. 17; 55.88 deg, d 1.645, rel. 18

***

Record 3
This entry pairs a crystal structure of KAlP2O7 with its simulated XRD peak list. Radiation: Cu Kα X-rays. Structure: a DFT-relaxed cell (GGA-PBE, Alexandria).

```
KAlP2O7
1.0
7.4512 0.0000 0.0000
0.0000 9.7807 0.0000
-2.3976 0.0000 7.7982
K Al P O
4 4 8 28
Direct
0.1814 0.1822 0.0580
0.1814 0.3178 0.5580
0.8186 0.6822 0.4420
0.8186 0.8178 0.9420
0.2385 0.6003 0.2593
0.2385 0.8997 0.7593
0.7615 0.1003 0.2407
0.7615 0.3997 0.7407
0.1264 0.5970 0.8313
0.1264 0.9030 0.3313
0.4343 0.6309 0.6883
0.4343 0.8691 0.1883
0.5657 0.1309 0.8117
0.5657 0.3691 0.3117
0.8736 0.0970 0.6687
0.8736 0.4030 0.1687
0.0223 0.5008 0.2759
0.0223 0.9992 0.7759
0.0855 0.7411 0.7549
0.0855 0.7589 0.2549
0.1499 0.5919 0.0204
0.1499 0.9081 0.5204
0.3233 0.5468 0.8027
0.3229 0.6042 0.5029
0.3229 0.8958 0.0029
0.3233 0.9532 0.3027
0.3686 0.0695 0.7611
0.3686 0.4305 0.2611
0.4428 0.7190 0.2454
0.4428 0.7810 0.7454
0.5572 0.2190 0.2546
0.5572 0.2810 0.7546
0.6314 0.5695 0.7389
0.6314 0.9305 0.2389
0.6767 0.0468 0.6973
0.6771 0.1042 0.9971
0.6771 0.3958 0.4971
0.6767 0.4532 0.1973
0.8501 0.0919 0.4796
0.8501 0.4081 0.9796
0.9145 0.2411 0.7451
0.9145 0.2589 0.2451
0.9777 0.0008 0.2241
0.9777 0.4992 0.7241
```

Principal peaks in the range 2θ = 10–80°, sorted by position:
15.39 deg, d 5.757, rel. 64; 21.45 deg, d 4.143, rel. 25; 22.81 deg, d 3.899, rel. 63; 26.52 deg, d 3.360, rel. 34; 29.10 deg, d 3.069, rel. 24; 29.70 deg, d 3.008, rel. 19; 30.01 deg, d 2.978, rel. 29; 30.15 deg, d 2.964, rel. 53; 30.44 deg, d 2.937, rel. 100; 30.59 deg, d 2.922, rel. 60